Entry 1:
Starting from a DFT-relaxed cell (GGA-PBE, the Materials Project), the X-ray powder pattern of CeTlF5 was computed for Cu Kα (λ = 1.5418 Å).
Lines closer than 0.1° are merged.

Top 10 peaks for 10 to 90 degrees two-theta, low angle first:
2θ/deg	intensity	hkl
22.09	12	1 3 0
25.19	44	0 2 2
25.56	100	0 4 0
27.32	31	2 0 -2
34.03	9	1 5 0
34.56	9	2 0 2
37.78	14	2 4 -2
44.83	13	0 6 2
45.06	23	2 6 0
47.02	10	3 5 0

Cell and atoms:
abc: 8.2564 13.9387 8.4209
angles: 90.00 102.99 90.00
Space group P2_1/c (No. 14)
Asymmetric unit:
1 Ce 0.0171 0.2446 0.0965 x4
2 Ce 0.4447 0.2463 0.9614 x4
3 Tl 0.2303 0.5229 0.7200 x4
4 Tl 0.2759 0.5173 0.2025 x4
5 F 0.0209 0.6011 0.9347 x4
6 F 0.0665 0.5959 0.3886 x4
7 F 0.0787 0.7102 0.6761 x4
8 F 0.1808 0.1805 0.3551 x4
9 F 0.2266 0.1512 0.0187 x4
10 F 0.2692 0.7392 0.9717 x4
11 F 0.2796 0.1865 0.6909 x4
12 F 0.4694 0.6983 0.2690 x4
13 F 0.4708 0.6025 0.5779 x4
14 F 0.4867 0.1028 0.5142 x4


Entry 2:
Starting from a DFT-relaxed cell (GGA-PBE, the Materials Project), the X-ray powder pattern of CeZr2F11 was computed for Cu Kα (λ = 1.5418 Å).
Lines closer than 0.1° are merged.

Top 10 peaks for 10 to 90 degrees two-theta, low angle first:
2θ/deg	intensity	hkl
14.16	22	1 1 0
21.32	100	1 1 2
22.19	26	1 2 1
23.59	59	0 2 2
25.43	39	2 1 1
28.53	24	1 3 0
43.42	46	1 3 4
46.49	26	3 3 2
48.84	31	4 0 2
49.42	16	4 2 0

Cell and atoms:
abc: 7.9092 10.2187 11.1781
angles: 90.00 90.00 90.00
Space group Ibam (No. 72)
Asymmetric unit:
1 Ce 0.0000 0.0000 0.2500 x4
2 Zr 0.1336 0.3194 0.0000 x8
3 F 0.0000 0.5000 0.0000 x4
4 F 0.1015 0.1849 0.1363 x16
5 F 0.1292 0.2792 0.5000 x8
6 F 0.2356 0.0763 0.3704 x16


Entry 3:
Starting from a DFT-relaxed cell (GGA-PBE, the Materials Project), the X-ray powder pattern of Ce2Fe17 was computed for Cu Kα (λ = 1.5418 Å).
Lines closer than 0.1° are merged.

Top 10 peaks for 10 to 90 degrees two-theta, low angle first:
2θ/deg	intensity	hkl
30.02	18	1 1 3
36.96	21	3 0 0
37.69	14	0 2 4
42.95	100	0 0 6
43.59	15	2 0 5
48.33	14	2 2 3
62.37	15	2 2 6
70.74	10	3 3 3
78.67	9	6 0 0
78.78	9	3 0 9

Cell and atoms:
abc: 8.4260 8.4260 12.6205
angles: 90.00 90.00 120.00
Space group R-3m (No. 166, hexagonal axes)
Asymmetric unit:
1 Ce 0.0000 0.0000 0.1582 x6
2 Fe 0.0000 0.0000 0.4048 x6
3 Fe 0.0000 0.2959 0.5000 x18
4 Fe 0.0000 0.5000 0.0000 x9
5 Fe 0.0010 0.5005 0.3427 x18